Entry 1:
Structure and calculated powder diffraction line list of Pm3PrNd6 (a cell relaxed with GGA-PBE; copper Kα).

Most intense lines, 2θ = 10–90°, in order of rising 2θ:
- 2θ = 27.73°, I 24.1, hkl 3 3 0
- 2θ = 27.94°, I 71.0, hkl 2 4 1
- 2θ = 28.12°, I 39.0, hkl 3 1 1
- 2θ = 29.01°, I 26.4, hkl 1 1 2
- 2θ = 30.78°, I 100.0, hkl 0 6 1
- 2θ = 31.03°, I 49.3, hkl 3 3 1
- 2θ = 31.91°, I 33.3, hkl 2 0 2
- 2θ = 33.26°, I 59.5, hkl 2 2 2
- 2θ = 33.38°, I 24.7, hkl 3 5 0
- 2θ = 48.86°, I 20.2, hkl 2 4 3

Crystal structure
Unit cell a=11.108 b=19.489 c=6.493 alpha=90.00 beta=90.00 gamma=90.00
Space group Cmc2_1 (No. 36)
Inequivalent atoms, fractional coordinates:
1 Pm 0.000 0.117 0.000
2 Pm 0.176 0.382 0.372
3 Pr 0.000 0.311 0.014
4 Nd 0.000 0.219 0.557
5 Nd 0.000 0.466 0.768
6 Nd 0.169 0.040 0.464
7 Nd 0.235 0.208 0.285

Entry 2:
Structure and calculated powder diffraction line list of AlGa2Mo (a cell relaxed with GGA-PBE; copper Kα).

Most intense lines, 2θ = 10–90°, in order of rising 2θ:
- 2θ = 22.19°, I 52.4, hkl 0 0 2
- 2θ = 25.24°, I 45.9, hkl 1 1 1
- 2θ = 39.84°, I 87.3, hkl 1 2 2
- 2θ = 40.85°, I 100.0, hkl 1 1 3
- 2θ = 40.98°, I 79.6, hkl 2 1 1
- 2θ = 42.43°, I 73.0, hkl 0 3 1
- 2θ = 46.19°, I 36.2, hkl 2 2 0
- 2θ = 68.38°, I 28.3, hkl 2 4 0
- 2θ = 69.06°, I 20.2, hkl 3 1 3
- 2θ = 72.92°, I 31.6, hkl 0 3 5

Crystal structure
Unit cell a=4.882 b=6.629 c=8.012 alpha=90.00 beta=90.00 gamma=90.00
Space group Ama2 (No. 40)
Inequivalent atoms, fractional coordinates:
1 Al 0.250 0.179 0.000
2 Ga 0.000 0.000 0.315
3 Ga 0.250 0.177 0.630
4 Mo 0.250 0.347 0.316

Entry 3:
Structure and calculated powder diffraction line list of CsAlAgO2 (a cell relaxed with GGA-PBE; copper Kα).

Most intense lines, 2θ = 10–90°, in order of rising 2θ:
- 2θ = 18.44°, I 39.6, hkl 0 2 1
- 2θ = 22.05°, I 66.4, hkl 1 1 1
- 2θ = 27.18°, I 100.0, hkl 0 2 2
- 2θ = 29.15°, I 40.6, hkl 0 4 0
- 2θ = 30.29°, I 48.7, hkl 1 3 1
- 2θ = 35.13°, I 23.5, hkl 2 0 0
- 2θ = 39.96°, I 26.7, hkl 2 2 1
- 2θ = 44.98°, I 30.6, hkl 2 2 2
- 2θ = 45.91°, I 17.3, hkl 0 4 3
- 2θ = 59.10°, I 28.4, hkl 2 4 3

Crystal structure
Unit cell a=5.109 b=12.252 c=7.770 alpha=90.00 beta=90.00 gamma=90.00
Space group Cmme (No. 67)
Inequivalent atoms, fractional coordinates:
1 Cs 0.000 0.250 0.209
2 Al 0.250 0.000 0.000
3 Ag 0.000 0.000 0.500
4 O 0.000 0.081 0.895

Entry 4:
Structure and calculated powder diffraction line list of InHg8 (a cell relaxed with GGA-PBE; copper Kα).

Most intense lines, 2θ = 10–90°, in order of rising 2θ:
- 2θ = 32.58°, I 100.0, hkl 3 0 1
- 2θ = 34.59°, I 21.4, hkl 0 0 2
- 2θ = 39.32°, I 30.5, hkl 3 3 0
- 2θ = 53.36°, I 25.4, hkl 3 3 2
- 2θ = 56.82°, I 10.5, hkl 6 0 0
- 2θ = 60.72°, I 17.3, hkl 3 0 3
- 2θ = 67.06°, I 25.8, hkl 6 3 1
- 2θ = 68.26°, I 12.3, hkl 6 0 2
- 2θ = 86.18°, I 6.9, hkl 3 3 4
- 2θ = 87.92°, I 13.3, hkl 6 3 3

Crystal structure
Unit cell a=9.721 b=9.721 c=5.186 alpha=90.00 beta=90.00 gamma=90.00
Space group I4/mmm (No. 139)
Inequivalent atoms, fractional coordinates:
1 In 0.000 0.000 0.000
2 Hg 0.000 0.335 0.000
3 Hg 0.168 0.168 0.500

Entry 5:
Structure and calculated powder diffraction line list of SnBi2Pb5 (a cell relaxed with GGA-PBE; copper Kα).

Most intense lines, 2θ = 10–90°, in order of rising 2θ:
- 2θ = 30.28°, I 61.9, hkl 0 4 0
- 2θ = 32.92°, I 100.0, hkl 2 2 0
- 2θ = 43.36°, I 23.8, hkl 0 4 2
- 2θ = 55.49°, I 46.9, hkl 2 6 0
- 2θ = 60.38°, I 18.3, hkl 4 0 0
- 2θ = 62.99°, I 8.1, hkl 0 8 0
- 2θ = 69.03°, I 12.4, hkl 4 4 0
- 2θ = 71.48°, I 11.3, hkl 0 8 2
- 2θ = 72.93°, I 10.7, hkl 2 6 2
- 2θ = 88.81°, I 13.8, hkl 2 10 0

Crystal structure
Unit cell a=7.177 b=11.805 c=6.908 alpha=90.00 beta=121.29 gamma=90.00
Space group Cm (No. 8)
Inequivalent atoms, fractional coordinates:
1 Sn 0.000 0.000 0.000
2 Bi 0.249 0.250 0.499
3 Pb 0.000 0.500 0.500
4 Pb 0.249 0.250 0.999
5 Pb 0.499 0.000 0.000
6 Pb 0.499 0.500 0.499

Entry 6:
Structure and calculated powder diffraction line list of LiBH4 (a cell relaxed with GGA-PBE; copper Kα).

Most intense lines, 2θ = 10–90°, in order of rising 2θ:
- 2θ = 24.48°, I 100.0, hkl 0 0 2
- 2θ = 24.70°, I 58.9, hkl 1 0 0
- 2θ = 27.62°, I 67.0, hkl 1 0 1
- 2θ = 35.05°, I 19.9, hkl 1 0 2
- 2θ = 43.48°, I 34.3, hkl 1 1 0
- 2θ = 45.06°, I 14.5, hkl 1 0 3
- 2θ = 50.53°, I 23.8, hkl 1 1 2
- 2θ = 50.65°, I 8.9, hkl 2 0 0
- 2θ = 57.03°, I 7.4, hkl 2 0 2
- 2θ = 69.70°, I 8.8, hkl 1 0 5

Crystal structure
Unit cell a=4.1625 b=4.1625 c=7.2738 alpha=90.00 beta=90.00 gamma=120.00
Space group P6_3mc (No. 186)
Inequivalent atoms, fractional coordinates:
1 Li 0.3333 0.6667 0.0000
2 B 0.3333 0.6667 0.4262
3 H 0.1739 0.3478 0.4837
4 H 0.3333 0.6667 0.2591

Entry 7:
Structure and calculated powder diffraction line list of Nd3YC8 (a cell relaxed with GGA-PBE; copper Kα).

Most intense lines, 2θ = 10–90°, in order of rising 2θ:
- 2θ = 24.49°, I 60.0, hkl 2 0 0
- 2θ = 29.00°, I 100.0, hkl 1 1 2
- 2θ = 34.90°, I 37.9, hkl 2 2 0
- 2θ = 45.99°, I 62.6, hkl 3 1 2
- 2θ = 53.95°, I 19.7, hkl 2 0 4
- 2θ = 56.61°, I 14.4, hkl 4 2 0
- 2θ = 59.01°, I 12.3, hkl 3 3 2
- 2θ = 60.10°, I 11.8, hkl 2 2 4
- 2θ = 70.43°, I 15.9, hkl 5 1 2
- 2θ = 76.78°, I 14.3, hkl 4 2 4

Crystal structure
Unit cell a=7.271 b=7.271 c=7.690 alpha=90.00 beta=90.00 gamma=90.00
Space group I-42m (No. 121)
Inequivalent atoms, fractional coordinates:
1 Nd 0.000 0.000 0.000
2 Nd 0.000 0.500 0.250
3 Y 0.000 0.000 0.500
4 C 0.161 0.161 0.278
5 C 0.235 0.235 0.872

Entry 8:
Structure and calculated powder diffraction line list of CrBiPdAu (a cell relaxed with GGA-PBE; copper Kα).

Most intense lines, 2θ = 10–90°, in order of rising 2θ:
- 2θ = 21.90°, I 15.8, hkl 2 0 0
- 2θ = 29.12°, I 16.4, hkl 1 1 -1
- 2θ = 36.73°, I 100.0, hkl 1 1 1
- 2θ = 41.50°, I 17.8, hkl 2 0 -2
- 2θ = 41.79°, I 17.5, hkl 0 2 0
- 2θ = 44.66°, I 14.5, hkl 4 0 0
- 2θ = 60.37°, I 11.8, hkl 2 2 -2
- 2θ = 62.82°, I 10.5, hkl 4 2 0
- 2θ = 72.52°, I 6.9, hkl 1 1 -3
- 2θ = 72.99°, I 13.5, hkl 1 3 1

Crystal structure
Unit cell a=9.198 b=4.323 c=4.352 alpha=90.00 beta=118.08 gamma=90.00
Space group Cm (No. 8)
Inequivalent atoms, fractional coordinates:
1 Cr 0.000 0.000 0.000
2 Bi 0.251 0.500 0.251
3 Pd 0.000 0.500 0.501
4 Au 0.250 0.000 0.751